No. 1
# MgMn6O7F5
Simulated powder diffractogram, Cu Kα X-rays. Input: a GGA+U-relaxed structure.

Peak list (10 most intense, 10 to 90 degrees two-theta, by angle)
2θ (°), I/Imax
22.4, 100
27.7, 70
34.3, 24
34.5, 43
34.8, 16
35.4, 17
45.8, 19
46.7, 15
48.2, 14
61.6, 27

Cell and atoms:
abc: 5.3112 5.8201 7.7021
angles: 82.63 82.94 79.65
Fractional coordinates of all 19 atoms:
Mg  0.0000  0.0000  0.0000
Mn  0.4851  0.5119  0.4908
Mn  0.5004  0.1844  0.8209
Mn  0.5064  0.8804  0.1815
Mn  0.9500  0.6308  0.8007
Mn  0.9854  0.0198  0.4862
Mn  0.9978  0.3783  0.1834
O  0.2872  0.1533  0.0546
O  0.2938  0.8217  0.3992
O  0.2986  0.4620  0.7206
O  0.6864  0.5742  0.2644
O  0.6873  0.8876  0.9417
O  0.7015  0.2291  0.5935
O  0.8554  0.0925  0.2540
F  0.1278  0.9631  0.7390
F  0.1420  0.6567  0.0576
F  0.1992  0.3187  0.4012
F  0.7817  0.7354  0.5781
F  0.8129  0.3364  0.9323

***

No. 2
# Li9Mn2Co5O16
Simulated powder diffractogram, Cu Kα X-rays. Input: a GGA+U-relaxed structure.

Peak list (10 most intense, 10 to 90 degrees two-theta, by angle)
2θ (°), I/Imax
18.5, 100
35.1, 17
36.3, 13
36.8, 12
37.4, 8
42.3, 31
44.1, 27
44.7, 26
62.5, 8
65.2, 9

Cell and atoms:
abc: 4.9753 5.9473 9.7066
angles: 82.76 86.14 88.39
Fractional coordinates of all 32 atoms:
Li  0.0000  0.0000  0.0000
Li  0.0031  0.4934  0.9992
Li  0.2605  0.3757  0.4918
Li  0.2637  0.8727  0.4913
Li  0.4987  0.2398  0.9994
Li  0.5088  0.7528  0.0006
Li  0.6312  0.9351  0.2450
Li  0.7543  0.6267  0.4933
Li  0.7602  0.1158  0.4920
Mn  0.6339  0.4315  0.2475
Mn  0.8810  0.3106  0.7454
Co  0.1320  0.6902  0.2455
Co  0.1382  0.1784  0.2439
Co  0.3812  0.0577  0.7456
Co  0.3810  0.5628  0.7460
Co  0.8818  0.8102  0.7460
O  0.0778  0.6136  0.6279
O  0.0793  0.1028  0.6287
O  0.1824  0.7856  0.8611
O  0.1870  0.2866  0.8607
O  0.3010  0.9918  0.1267
O  0.3126  0.4589  0.1399
O  0.4333  0.1762  0.3546
O  0.4423  0.6444  0.3574
O  0.5753  0.3353  0.6296
O  0.5824  0.8358  0.6291
O  0.6821  0.5164  0.8641
O  0.6840  0.0070  0.8643
O  0.8217  0.6889  0.1391
O  0.8261  0.2256  0.1356
O  0.9334  0.3817  0.3614
O  0.9810  0.9155  0.3507

***

No. 3
# MgNi2Bi4O12
Simulated powder diffractogram, Cu Kα X-rays. Input: a GGA+U-relaxed structure.

Peak list (10 most intense, 10 to 90 degrees two-theta, by angle)
2θ (°), I/Imax
19.4, 32
24.5, 100
32.0, 80
34.9, 31
40.2, 14
48.1, 68
50.1, 19
56.5, 18
60.7, 20
72.0, 15

Cell and atoms:
abc: 5.1470 5.1470 9.9828
angles: 90.00 90.00 90.00
Fractional coordinates of all 19 atoms:
Mg  0.0000  0.0000  0.0000
Ni  0.0000  0.5000  0.7487
Ni  0.5000  0.0000  0.2513
Bi  0.0000  0.5000  0.1046
Bi  0.0000  0.5000  0.4292
Bi  0.5000  0.0000  0.5708
Bi  0.5000  0.0000  0.8954
O  0.1732  0.2935  0.9150
O  0.1926  0.3077  0.5902
O  0.1983  0.2975  0.2629
O  0.2935  0.8268  0.0850
O  0.2975  0.8017  0.7371
O  0.3077  0.8074  0.4098
O  0.6923  0.1926  0.4098
O  0.7025  0.1983  0.7371
O  0.7065  0.1732  0.0850
O  0.8017  0.7025  0.2629
O  0.8074  0.6923  0.5902
O  0.8268  0.7065  0.9150

***

No. 4
# SrCaCo2O6
Simulated powder diffractogram, Cu Kα X-rays. Input: a GGA+U-relaxed structure.

Peak list (10 most intense, 10 to 90 degrees two-theta, by angle)
2θ (°), I/Imax
16.4, 3
20.1, 2
23.2, 2
33.1, 100
40.8, 8
47.5, 42
59.1, 36
69.4, 23
79.1, 15
88.4, 8

Cell and atoms:
abc: 7.6593 7.6593 7.6575
angles: 90.00 90.00 90.00
Fractional coordinates of all 40 atoms:
Sr  0.0000  0.0000  0.0000
Sr  0.0000  0.5000  0.0000
Sr  0.5000  0.0000  0.0000
Sr  0.5000  0.5000  0.5000
Ca  0.0000  0.0000  0.5000
Ca  0.0000  0.5000  0.5000
Ca  0.5000  0.0000  0.5000
Ca  0.5000  0.5000  0.0000
Co  0.2500  0.2500  0.2507
Co  0.2500  0.2500  0.7493
Co  0.2500  0.7500  0.2507
Co  0.2500  0.7500  0.7493
Co  0.7500  0.2500  0.2507
Co  0.7500  0.2500  0.7493
Co  0.7500  0.7500  0.2507
Co  0.7500  0.7500  0.7493
O  0.0000  0.2500  0.2528
O  0.0000  0.2500  0.7472
O  0.0000  0.7500  0.2528
O  0.0000  0.7500  0.7472
O  0.2487  0.2487  0.5000
O  0.2487  0.7513  0.5000
O  0.2500  0.0000  0.2528
O  0.2500  0.0000  0.7472
O  0.2500  0.5000  0.2501
O  0.2500  0.5000  0.7499
O  0.2514  0.2514  0.0000
O  0.2514  0.7486  0.0000
O  0.5000  0.2500  0.2501
O  0.5000  0.2500  0.7499
O  0.5000  0.7500  0.2501
O  0.5000  0.7500  0.7499
O  0.7486  0.2514  0.0000
O  0.7486  0.7486  0.0000
O  0.7500  0.0000  0.2528
O  0.7500  0.0000  0.7472
O  0.7500  0.5000  0.2501
O  0.7500  0.5000  0.7499
O  0.7513  0.2487  0.5000
O  0.7513  0.7513  0.5000

***

No. 5
# Fe11Ni8O24
Simulated powder diffractogram, Cu Kα X-rays. Input: a GGA+U-relaxed structure.

Peak list (10 most intense, 10 to 90 degrees two-theta, by angle)
2θ (°), I/Imax
30.1, 62
34.3, 38
35.0, 100
35.1, 51
35.3, 65
35.4, 31
42.4, 64
42.6, 31
60.8, 51
62.5, 54

Cell and atoms:
abc: 5.9415 5.9415 15.1359
angles: 90.31 90.31 60.12
Fractional coordinates of all 43 atoms:
Fe  0.0000  0.0000  0.0000
Fe  0.0010  0.0010  0.6506
Fe  0.1717  0.6548  0.8341
Fe  0.3312  0.3312  0.2992
Fe  0.3350  0.3350  0.0411
Fe  0.3452  0.8283  0.1659
Fe  0.6548  0.1717  0.8341
Fe  0.6650  0.6650  0.9589
Fe  0.6688  0.6688  0.7008
Fe  0.8283  0.3452  0.1659
Fe  0.9990  0.9990  0.3494
Ni  0.0000  0.0000  0.5000
Ni  0.0000  0.5000  0.5000
Ni  0.1700  0.1700  0.8360
Ni  0.3323  0.3323  0.6651
Ni  0.5000  0.0000  0.5000
Ni  0.5000  0.5000  0.5000
Ni  0.6677  0.6677  0.3349
Ni  0.8300  0.8300  0.1640
O  0.0008  0.0008  0.2276
O  0.0174  0.4963  0.7519
O  0.1585  0.1585  0.0820
O  0.1608  0.6873  0.0811
O  0.1633  0.1633  0.5825
O  0.1642  0.6744  0.5830
O  0.3127  0.8392  0.9189
O  0.3256  0.8358  0.4170
O  0.3326  0.3326  0.4249
O  0.3357  0.3357  0.9123
O  0.4942  0.4942  0.7539
O  0.4963  0.0174  0.7519
O  0.5037  0.9826  0.2481
O  0.5058  0.5058  0.2461
O  0.6643  0.6643  0.0877
O  0.6674  0.6674  0.5751
O  0.6744  0.1642  0.5830
O  0.6873  0.1608  0.0811
O  0.8358  0.3256  0.4170
O  0.8367  0.8367  0.4175
O  0.8392  0.3127  0.9189
O  0.8415  0.8415  0.9180
O  0.9826  0.5037  0.2481
O  0.9992  0.9992  0.7724

***

No. 6
# CaVF6
Simulated powder diffractogram, Cu Kα X-rays. Input: a GGA+U-relaxed structure.

Peak list (10 most intense, 10 to 90 degrees two-theta, by angle)
2θ (°), I/Imax
19.3, 6
22.1, 100
30.9, 13
37.1, 18
45.0, 21
50.0, 27
51.4, 12
56.2, 7
56.9, 7
71.2, 7

Cell and atoms:
abc: 5.7908 5.7908 5.7908
angles: 57.94 57.94 57.94
Fractional coordinates of all 8 atoms:
Ca  0.0000  0.0000  0.0000
V  0.5000  0.5000  0.5000
F  0.1846  0.7222  0.3662
F  0.2778  0.6338  0.8154
F  0.3662  0.1846  0.7222
F  0.6338  0.8154  0.2778
F  0.7222  0.3662  0.1846
F  0.8154  0.2778  0.6338

***

No. 7
# Li2V3SnO8
Simulated powder diffractogram, Cu Kα X-rays. Input: a GGA+U-relaxed structure.

Peak list (10 most intense, 10 to 90 degrees two-theta, by angle)
2θ (°), I/Imax
17.9, 54
18.0, 100
20.6, 16
33.9, 32
34.5, 18
34.6, 37
36.5, 11
41.9, 78
59.9, 17
61.5, 16

Cell and atoms:
abc: 6.0364 6.1811 8.6278
angles: 87.66 89.63 89.96
Fractional coordinates of all 28 atoms:
Li  0.0000  0.0000  0.0000
Li  0.0042  0.4810  0.2405
Li  0.5000  0.4972  0.4979
Li  0.5044  0.9856  0.7461
V  0.0041  0.7372  0.6244
V  0.2562  0.4906  0.8700
V  0.2581  0.9915  0.3712
V  0.5003  0.2412  0.1178
V  0.7495  0.4886  0.8692
V  0.7521  0.9864  0.3706
Sn  0.0032  0.2403  0.6193
Sn  0.5024  0.7366  0.1218
O  0.0012  0.2674  0.8596
O  0.0016  0.7186  0.8424
O  0.0129  0.2105  0.3784
O  0.0138  0.7751  0.3945
O  0.2276  0.5001  0.6274
O  0.2319  0.9809  0.6070
O  0.2681  0.9917  0.1410
O  0.2701  0.4890  0.1084
O  0.4887  0.1994  0.3628
O  0.4908  0.7638  0.3648
O  0.5022  0.2694  0.8846
O  0.5047  0.7164  0.8790
O  0.7304  0.4826  0.1120
O  0.7323  0.9890  0.1380
O  0.7780  0.9813  0.6080
O  0.7795  0.5016  0.6238

***

No. 8
# Mn5Cr4O12
Simulated powder diffractogram, Cu Kα X-rays. Input: a GGA+U-relaxed structure.

Peak list (10 most intense, 10 to 90 degrees two-theta, by angle)
2θ (°), I/Imax
17.8, 37
29.2, 31
29.3, 30
29.4, 32
34.3, 100
34.4, 100
34.7, 72
55.0, 25
55.2, 28
61.0, 45

Cell and atoms:
abc: 6.0735 6.0887 13.6879
angles: 102.51 102.60 90.61
Fractional coordinates of all 42 atoms:
Mn  0.0000  0.0000  0.0000
Mn  0.0000  0.0000  0.5000
Mn  0.1223  0.8750  0.2490
Mn  0.2101  0.4555  0.4162
Mn  0.3345  0.3325  0.6689
Mn  0.4617  0.2088  0.9169
Mn  0.5383  0.7912  0.0831
Mn  0.6655  0.6675  0.3311
Mn  0.7899  0.5445  0.5838
Mn  0.8777  0.1250  0.7510
Cr  0.0000  0.5000  0.0000
Cr  0.1642  0.6690  0.8333
Cr  0.3350  0.3356  0.1654
Cr  0.3354  0.8336  0.6680
Cr  0.5000  0.0000  0.5000
Cr  0.6646  0.1664  0.3320
Cr  0.6650  0.6644  0.8346
Cr  0.8358  0.3310  0.1667
O  0.0799  0.5517  0.1567
O  0.0819  0.1076  0.1580
O  0.1054  0.6014  0.6788
O  0.1217  0.0879  0.6659
O  0.2118  0.7541  0.9913
O  0.2409  0.2725  0.0116
O  0.2473  0.2181  0.5063
O  0.2574  0.7763  0.5113
O  0.4084  0.4430  0.8269
O  0.4148  0.8848  0.8243
O  0.4376  0.9334  0.3450
O  0.4457  0.4200  0.3247
O  0.5543  0.5800  0.6753
O  0.5624  0.0666  0.6550
O  0.5852  0.1152  0.1757
O  0.5916  0.5570  0.1731
O  0.7426  0.2237  0.4887
O  0.7527  0.7819  0.4937
O  0.7591  0.7275  0.9884
O  0.7882  0.2459  0.0087
O  0.8783  0.9121  0.3341
O  0.8946  0.3986  0.3212
O  0.9181  0.8924  0.8420
O  0.9201  0.4483  0.8433

***

No. 9
# Ba4Y2Cu4W2O17
Simulated powder diffractogram, Cu Kα X-rays. Input: a GGA+U-relaxed structure.

Peak list (10 most intense, 10 to 90 degrees two-theta, by angle)
2θ (°), I/Imax
29.9, 51
30.5, 100
30.7, 53
32.3, 44
32.6, 49
40.2, 29
46.3, 23
46.8, 26
56.2, 16
56.8, 17

Cell and atoms:
abc: 5.8839 6.0367 12.2435
angles: 101.86 101.71 97.69
Fractional coordinates of all 29 atoms:
Ba  0.0000  0.0000  0.0000
Ba  0.1698  0.1661  0.3455
Ba  0.3742  0.3460  0.6907
Ba  0.6707  0.6506  0.3426
Y  0.5701  0.3789  0.9979
Y  0.8161  0.9115  0.6830
Cu  0.0873  0.5802  0.1649
Cu  0.4193  0.9005  0.8389
Cu  0.7723  0.2539  0.5219
Cu  0.9579  0.4568  0.8430
W  0.2500  0.7511  0.5195
W  0.5817  0.0714  0.1769
O  0.0181  0.9482  0.5058
O  0.0325  0.4734  0.5019
O  0.2163  0.6678  0.3555
O  0.2220  0.3121  0.8832
O  0.2373  0.8243  0.6867
O  0.3217  0.8536  0.1758
O  0.3994  0.3188  0.1527
O  0.5038  0.0267  0.5387
O  0.5087  0.9854  0.0041
O  0.5306  0.6122  0.5522
O  0.6427  0.1852  0.3414
O  0.6707  0.1452  0.8349
O  0.7778  0.6861  0.8052
O  0.8066  0.8755  0.1872
O  0.8495  0.3185  0.1683
O  0.9077  0.2916  0.6847
O  0.9351  0.5480  0.0018